[1]
Structure and computed PXRD pattern of TiInNi2 (a PBE-relaxed structure; CuKα).
Peak positions follow from Bragg's law for the DFT cell and can differ from measured ones.

Top 10 peaks for 2θ = 5–70°, in order of falling intensity:
| d_spacing | I/Imax |
| --- | --- |
| 2.176 | 100 |
| 2.191 | 57 |
| 2.763 | 26 |
| 1.549 | 18 |
| 1.492 | 9 |
| 2.037 | 7 |
| 1.351 | 6 |
| 1.528 | 6 |
| 6.112 | 5 |
| 1.370 | 2 |

```
4
Lattice="3.0981 0.0000 0.0000 0.0000 3.0981 0.0000 0.0000 0.0000 6.1119" Properties=species:S:1:pos:R:3 pbc="T T T"
Ti 0.0000 0.0000 0.0000
In 0.0000 0.0000 3.0560
Ni 1.5491 1.5491 1.2903
Ni 1.5491 1.5491 4.8216
```

[2]
Structure and computed PXRD pattern of LiGa2 (a PBE-relaxed structure; CuKα).
Peak positions follow from Bragg's law for the DFT cell and can differ from measured ones.

Top 10 peaks for 2θ = 5–70°, in order of falling intensity:
| d_spacing | I/Imax |
| --- | --- |
| 2.823 | 100 |
| 2.445 | 52 |
| 1.882 | 42 |
| 5.645 | 36 |
| 2.243 | 26 |
| 1.729 | 24 |
| 1.369 | 21 |
| 1.474 | 14 |
| 1.630 | 9 |
| 2.948 | 6 |

```
12
Lattice="0.0000 4.8891 4.8891 4.8891 0.0000 4.8891 4.8891 4.8891 0.0000" Properties=species:S:1:pos:R:3 pbc="T T T"
Li 0.0000 0.0000 0.0000
Li 2.4445 2.4445 0.0000
Li 2.4445 0.0000 2.4445
Li 0.0000 2.4445 2.4445
Ga 2.6884 2.6884 2.6884
Ga 4.6452 4.6452 2.6884
Ga 4.6452 2.6884 4.6452
Ga 7.0897 5.1330 5.1330
Ga 2.6884 4.6452 4.6452
Ga 5.1330 7.0897 5.1330
Ga 5.1330 5.1330 7.0897
Ga 7.0897 7.0897 7.0897
```

[3]
Structure and computed PXRD pattern of ZrCrAgS4 (a PBE-relaxed structure; CuKα).
Peak positions follow from Bragg's law for the DFT cell and can differ from measured ones.

Top 10 peaks for 2θ = 5–70°, in order of falling intensity:
| d_spacing | I/Imax |
| --- | --- |
| 1.845 | 100 |
| 3.209 | 97 |
| 3.111 | 93 |
| 3.691 | 69 |
| 3.176 | 65 |
| 2.049 | 40 |
| 2.035 | 35 |
| 3.721 | 34 |
| 2.656 | 29 |
| 1.860 | 29 |

```
14
Lattice="-3.7205 3.7920 5.1319 3.7205 -3.7920 5.1319 3.7205 3.7920 -5.1319" Properties=species:S:1:pos:R:3 pbc="T T T"
Zr 0.0207 0.0000 2.5660
Zr -0.0207 3.7920 2.5660
Cr 5.5808 1.8922 0.0000
Cr 1.8603 1.8999 0.0000
Ag 3.7205 1.8960 4.0478
Ag 0.0000 1.8960 6.2160
S 5.4732 1.8862 -2.4506
S 1.9678 1.9059 -2.4506
S 3.7220 0.3195 -0.0095
S -0.0015 0.3195 0.0095
S 3.7190 3.4725 -0.0095
S 0.0015 3.4725 0.0095
S -1.7527 1.8862 2.4506
S 1.7527 1.9059 2.4506
```

[4]
Structure and computed PXRD pattern of Cs2NaCrC6N6 (a PBE-relaxed structure; CuKα).
Peak positions follow from Bragg's law for the DFT cell and can differ from measured ones.

Top 10 peaks for 2θ = 5–70°, in order of falling intensity:
| d_spacing | I/Imax |
| --- | --- |
| 3.930 | 100 |
| 2.779 | 49 |
| 3.849 | 26 |
| 5.557 | 25 |
| 1.757 | 25 |
| 2.237 | 24 |
| 3.164 | 24 |
| 4.014 | 22 |
| 2.465 | 20 |
| 3.254 | 18 |

```
32
Lattice="7.6976 0.0000 0.0000 0.0000 8.0287 0.0000 -7.6733 0.0000 11.1171" Properties=species:S:1:pos:R:3 pbc="T T T"
Cs -0.1007 0.4454 2.7831
Cs -3.9374 3.5690 8.3416
Cs 3.9617 4.4597 2.7755
Cs 0.1250 7.5833 8.3340
Na -3.8367 0.0000 5.5585
Na 0.0000 4.0143 0.0000
Cr 3.8488 0.0000 0.0000
Cr 0.0121 4.0143 5.5585
C -5.4858 1.1567 10.8376
C -1.6491 2.8576 5.2791
C -1.0934 5.7014 5.2288
C -4.9300 6.3417 10.7874
C -3.4152 0.1011 9.1209
C 0.4215 3.9133 3.5624
C -0.3972 4.1154 7.5546
C 3.4395 7.9276 1.9961
C 4.9543 1.6870 0.3297
C 1.1177 2.3273 5.8882
C 1.6734 5.1711 5.8380
C 5.5101 6.8720 0.2794
N -6.4335 1.8347 10.6740
N -2.5968 2.1797 5.1154
N -5.5691 5.3741 10.5873
N -1.7324 6.6689 5.0288
N -3.1842 0.1770 7.9701
N 0.6524 3.8374 2.4116
N -0.6281 4.1913 8.7055
N 3.2085 7.8517 3.1469
N 1.7567 1.3598 6.0883
N 5.5934 2.6546 0.5298
N 2.6211 5.8490 6.0016
N 6.4578 6.1940 0.4431
```

[5]
Structure and computed PXRD pattern of GeBi4Te7 (a PBE-relaxed structure; CuKα).
Peak positions follow from Bragg's law for the DFT cell and can differ from measured ones.

Top 10 peaks for 2θ = 5–70°, in order of falling intensity:
| d_spacing | I/Imax |
| --- | --- |
| 3.249 | 100 |
| 2.206 | 39 |
| 2.400 | 34 |
| 1.825 | 20 |
| 1.406 | 17 |
| 1.624 | 10 |
| 2.073 | 8 |
| 1.377 | 8 |
| 2.799 | 8 |
| 2.591 | 8 |

```
12
Lattice="4.4127 0.0000 0.0000 -2.2063 3.8215 0.0000 0.0000 0.0000 24.6714" Properties=species:S:1:pos:R:3 pbc="T T T"
Ge 0.0000 0.0000 0.0000
Bi 0.0000 2.5477 14.3936
Bi 0.0000 2.5477 20.9024
Bi 2.2063 1.2738 3.7690
Bi 2.2063 1.2738 10.2778
Te 0.0000 0.0000 5.5090
Te 0.0000 0.0000 12.3357
Te 0.0000 0.0000 19.1624
Te 0.0000 2.5477 1.6683
Te 0.0000 2.5477 8.5404
Te 2.2063 1.2738 16.1310
Te 2.2063 1.2738 23.0031
```

[6]
Structure and computed PXRD pattern of Mg16Al12Sn (a PBE-relaxed structure; CuKα).
Peak positions follow from Bragg's law for the DFT cell and can differ from measured ones.

Top 10 peaks for 2θ = 5–70°, in order of falling intensity:
| d_spacing | I/Imax |
| --- | --- |
| 2.492 | 100 |
| 7.474 | 26 |
| 2.253 | 23 |
| 2.074 | 16 |
| 1.438 | 14 |
| 2.825 | 13 |
| 2.158 | 13 |
| 4.316 | 12 |
| 1.439 | 12 |
| 3.343 | 9 |

```
29
Lattice="7.4701 4.3128 3.0563 -7.4701 4.3128 3.0563 0.0000 -8.6257 3.0563" Properties=species:S:1:pos:R:3 pbc="T T T"
Mg 0.0000 0.0000 0.0000
Mg -2.9756 -1.7180 5.0347
Mg -2.1045 -4.6814 5.8400
Mg -5.1064 0.5182 5.8400
Mg -4.8822 -2.8187 7.1472
Mg 0.0000 -2.6909 4.5866
Mg -2.3304 1.3455 4.5866
Mg 2.1044 -4.6814 5.8400
Mg -3.0020 4.1632 5.8400
Mg 2.9756 -1.7180 5.0347
Mg 0.0000 3.4360 5.0347
Mg 2.3304 1.3455 4.5866
Mg 4.8822 -2.8187 7.1471
Mg 0.0000 5.6374 7.1471
Mg 5.1064 0.5182 5.8400
Mg 3.0020 4.1632 5.8400
Al -4.6851 -4.2991 4.4222
Al -6.0657 -1.9079 4.4222
Al -1.3961 -0.8060 2.7335
Al 0.0000 -5.4456 3.5989
Al -4.7161 2.7228 3.5989
Al 1.3961 -0.8060 2.7335
Al 0.0000 1.6121 2.7335
Al 4.6851 -4.2991 4.4222
Al -1.3805 6.2070 4.4222
Al 4.7161 2.7228 3.5989
Al 6.0657 -1.9079 4.4222
Al 1.3805 6.2070 4.4222
Sn 0.0000 0.0000 6.0881
```

[7]
Structure and computed PXRD pattern of Co2C3N6 (a PBE-relaxed structure; CuKα).
Peak positions follow from Bragg's law for the DFT cell and can differ from measured ones.

Top 10 peaks for 2θ = 5–70°, in order of falling intensity:
| d_spacing | I/Imax |
| --- | --- |
| 2.285 | 100 |
| 4.336 | 78 |
| 3.802 | 58 |
| 4.567 | 51 |
| 1.727 | 41 |
| 2.535 | 35 |
| 1.523 | 28 |
| 2.639 | 19 |
| 2.350 | 13 |
| 1.445 | 12 |

```
22
Lattice="2.6387 1.5235 9.1341 -2.6387 1.5235 9.1341 0.0000 -3.0470 9.1341" Properties=species:S:1:pos:R:3 pbc="T T T"
Co 0.0000 0.0000 4.5179
Co 0.0000 0.0000 9.1832
Co 0.0000 0.0000 18.2191
Co 0.0000 0.0000 22.8844
C -1.7905 -0.0542 11.4176
C -0.8483 -1.5777 15.9847
C 0.9422 -1.5235 11.4176
C -0.9422 1.5235 15.9847
C 0.8483 1.5777 11.4176
C 1.7905 0.0542 15.9847
N -1.6268 -0.1955 10.2013
N -1.9946 0.0169 12.6340
N -1.0119 -1.7189 14.7683
N -0.6441 -1.5066 17.2011
N 0.9827 -1.3111 10.2012
N 0.9827 -1.7358 12.6340
N -0.9827 1.7358 14.7683
N -0.9827 1.3111 17.2011
N 0.6441 1.5066 10.2012
N 1.0119 1.7189 12.6340
N 1.9946 -0.0169 14.7683
N 1.6268 0.1955 17.2010
```

[8]
Structure and computed PXRD pattern of CaTiO3 (a PBE-relaxed structure; CuKα).
Peak positions follow from Bragg's law for the DFT cell and can differ from measured ones.

Top 10 peaks for 2θ = 5–70°, in order of falling intensity:
| d_spacing | I/Imax |
| --- | --- |
| 2.732 | 100 |
| 2.719 | 59 |
| 1.923 | 49 |
| 1.572 | 48 |
| 1.942 | 28 |
| 1.366 | 25 |
| 1.580 | 22 |
| 2.227 | 12 |
| 1.359 | 10 |
| 3.846 | 9 |

```
20
Lattice="3.8416 -3.8841 0.0000 3.8416 3.8841 0.0000 0.0000 0.0000 7.6970" Properties=species:S:1:pos:R:3 pbc="T T T"
Ca 3.8416 3.8468 5.7727
Ca 3.8416 0.0995 1.9242
Ca 3.8416 -0.0995 5.7727
Ca 3.8416 -3.8468 1.9242
Ti 1.9208 1.9420 0.0000
Ti 1.9208 1.9420 3.8485
Ti 1.9208 -1.9420 0.0000
Ti 1.9208 -1.9420 3.8485
O 2.3142 1.9067 1.9242
O 1.6168 0.0000 0.0000
O 1.6168 0.0000 3.8485
O 3.8416 1.6640 4.2244
O 3.8416 1.6640 7.3211
O 5.3691 1.9067 1.9242
O 2.3142 -1.9067 5.7727
O 3.8416 -1.6640 0.3759
O 3.8416 -1.6640 3.4726
O 6.0664 0.0000 0.0000
O 6.0664 0.0000 3.8485
O 5.3691 -1.9067 5.7727
```